The following is a theoretical X-ray powder pattern of YFe5B3. It was derived from a DFT-relaxed cell (PBE, Alexandria), using λ = 1.5418 Å (Cu Kα).
Kinematic intensities with the Lorentz-polarization factor, no thermal factor.

Peak list (8 most intense, 10 to 90 degrees two-theta, most intense first)
2θ = 37.85°, d 2.377, intensity 100
2θ = 44.27°, d 2.046, intensity 100
2θ = 29.78°, d 3.000, intensity 86
2θ = 35.97°, d 2.497, intensity 77
2θ = 54.94°, d 1.671, intensity 48
2θ = 48.74°, d 1.868, intensity 45
2θ = 32.90°, d 2.723, intensity 40
2θ = 36.98°, d 2.431, intensity 37

Structure:
```
data_YFe5B3
_cell_length_a 3.342
_cell_length_b 11.267
_cell_length_c 10.632
_cell_angle_alpha 90.00
_cell_angle_beta 90.00
_cell_angle_gamma 90.00
_symmetry_space_group_name_H-M 'C m c m'
_symmetry_Int_Tables_number 63
_symmetry_space_group_name_Hall '-C 2c 2'
loop_
_atom_site_label
_atom_site_type_symbol
_atom_site_fract_x
_atom_site_fract_y
_atom_site_fract_z
_atom_site_occupancy
Y1 Y 0.000 0.163 0.250 1
Fe1 Fe 0.000 0.000 0.000 1
Fe2 Fe 0.000 0.197 0.560 1
Fe3 Fe 0.000 0.447 0.144 1
B1 B 0.000 0.126 0.750 1
B2 B 0.000 0.380 0.546 1
```